Starting from a PBE-relaxed structure, the X-ray diffraction stick pattern of BaC2S2O6F6 was calculated for Cu Kα X-rays.
Peak positions follow from Bragg's law for the DFT cell and can differ from measured ones.

Main lines, low angle first (10° ≤ 2θ ≤ 80°):
2θ (°)  d (Å)  I/Imax
21.54  4.125  406
21.73  4.090  742
22.39  3.971  427
25.50  3.493  1000
26.60  3.351  170
27.05  3.296  422
27.40  3.255  434
33.80  2.652  312
34.30  2.614  450
38.52  2.337  161
41.99  2.152  169
45.65  1.987  226

Structure:
```
BaC2S2O6F6
1.0
11.133 -2.490 0.000
11.133 2.490 0.000
-2.548 0.000 9.473
Ba C S O F
2 4 4 12 12
direct
0.034 0.966 0.750
0.966 0.034 0.250
0.229 0.430 0.440
0.430 0.229 0.940
0.570 0.771 0.060
0.771 0.570 0.560
0.410 0.416 0.965
0.416 0.410 0.465
0.584 0.590 0.535
0.590 0.584 0.035
0.194 0.698 0.461
0.226 0.598 0.849
0.302 0.806 0.039
0.306 0.554 0.106
0.402 0.774 0.651
0.446 0.694 0.394
0.554 0.306 0.606
0.598 0.226 0.349
0.694 0.446 0.894
0.698 0.194 0.961
0.774 0.402 0.151
0.806 0.302 0.539
0.050 0.601 0.543
0.086 0.531 0.313
0.179 0.408 0.945
0.399 0.950 0.957
0.408 0.179 0.445
0.469 0.914 0.187
0.531 0.086 0.813
0.592 0.821 0.555
0.601 0.050 0.043
0.821 0.592 0.055
0.914 0.469 0.687
0.950 0.399 0.457
```